This entry pairs a crystal structure of Ti4Al2O with its computed X-ray diffraction stick pattern. Radiation: Cu Kα X-rays. Structure: DFT lattice parameters and positions (PBE).
Peak positions follow from Bragg's law for the DFT cell and can differ from measured ones.

Cell and atoms:
abc: 11.7529 11.7529 11.7529
angles: 90.00 90.00 90.00
Space group Fd-3m (No. 227, origin choice 2)
Inequivalent atoms, fractional coordinates:
Ti (0.0000, 0.0000, 0.0000) x16
Ti (0.0641, 0.3750, 0.8750) x48
Al (0.0341, 0.0341, 0.2159) x32
O (0.0000, 0.0000, 0.5000) x16

Peak list (6 most intense, 2θ from 10° to 90°, in order of rising 2θ)
- 2θ 33.23, I 231, (3 3 1)
- 2θ 37.49, I 435, (4 2 2)
- 2θ 39.86, I 1000, (3 3 3)
- 2θ 43.56, I 495, (4 4 0)
- 2θ 67.64, I 332, (6 6 0)
- 2θ 81.48, I 144, (9 3 3)